1.
For Li4AgSb2Au, the PBE geometry in OQMD gives the simulated X-ray diffraction stick pattern in this record (Cu Kα (weighted mean of Kα1 and Kα2)).
Neutral-atom scattering factors, no anomalous dispersion.

The 6 most intense peaks (2θ = 15–90°), most intense first:
2θ (°)	I/Imax
23.43	100
38.73	93
45.76	51
70.10	32
61.46	21
55.93	16

Crystal structure
Cell: 4.6524 4.6524 6.5695 Å, 90.00 90.00 90.00°
Fractional coordinates of all 8 atoms:
Li 0.0000 0.0000 0.0000
Li 0.0000 0.5000 0.2428
Li 0.5000 0.0000 0.7572
Li 0.5000 0.5000 0.5000
Ag 0.0000 0.0000 0.5000
Sb 0.0000 0.5000 0.7486
Sb 0.5000 0.0000 0.2514
Au 0.5000 0.5000 0.0000

---

2.
For Li3ScAg2Au2, the PBE geometry in OQMD gives the simulated X-ray diffraction stick pattern in this record (Cu Kα (weighted mean of Kα1 and Kα2)).
Neutral-atom scattering factors, no anomalous dispersion.

The 6 most intense peaks (2θ = 15–90°), most intense first:
2θ (°)	I/Imax
39.65	100
27.52	92
39.31	53
27.99	42
48.94	37
71.49	34

Crystal structure
Cell: 4.5865 4.5821 6.3756 Å, 90.00 90.00 90.00°
Fractional coordinates of all 8 atoms:
Li 0.0000 0.0000 0.0000
Li 0.0096 0.0000 0.4999
Li 0.4830 0.5000 0.4999
Sc 0.4863 0.5000 0.9998
Ag 0.5102 0.0000 0.7256
Ag 0.9840 0.5000 0.2742
Au 0.5043 0.0000 0.2550
Au 0.9870 0.5000 0.7448

---

3.
For Li2Y2Tl2AgAu, the PBE geometry in OQMD gives the simulated X-ray diffraction stick pattern in this record (Cu Kα (weighted mean of Kα1 and Kα2)).
Neutral-atom scattering factors, no anomalous dispersion.

The 6 most intense peaks (2θ = 15–90°), most intense first:
2θ (°)	I/Imax
36.68	100
22.22	40
66.05	36
43.30	22
52.85	18
78.00	11

Crystal structure
Cell: 4.8983 4.8983 6.9349 Å, 90.00 90.00 90.00°
Fractional coordinates of all 8 atoms:
Li 0.0000 0.0000 0.0000
Li 0.5000 0.5000 0.5000
Y 0.0000 0.5000 0.7458
Y 0.5000 0.0000 0.2542
Tl 0.0000 0.5000 0.2468
Tl 0.5000 0.0000 0.7532
Ag 0.5000 0.5000 0.0000
Au 0.0000 0.0000 0.5000

---

4.
For Mg2AgAu, the PBE geometry in OQMD gives the simulated X-ray diffraction stick pattern in this record (Cu Kα (weighted mean of Kα1 and Kα2)).
Neutral-atom scattering factors, no anomalous dispersion.

The 6 most intense peaks (2θ = 15–90°), most intense first:
2θ (°)	I/Imax
38.53	100
26.99	78
47.69	22
38.64	20
23.32	15
62.95	15

Crystal structure
Cell: 4.6739 4.6739 4.6739 Å, 120.19 120.04 89.80°
Fractional coordinates of all 4 atoms:
Mg 0.2502 0.2502 0.0000
Mg 0.7498 0.7498 0.0000
Ag 0.5000 0.0000 0.5000
Au 0.0000 0.5000 0.5000

---

5.
For Pr3Mg3AgAu2, the PBE geometry in OQMD gives the simulated X-ray diffraction stick pattern in this record (Cu Kα (weighted mean of Kα1 and Kα2)).
Neutral-atom scattering factors, no anomalous dispersion.

The 6 most intense peaks (2θ = 15–90°), most intense first:
2θ (°)	I/Imax
33.78	100
31.03	92
22.69	49
39.84	36
41.08	30
42.50	23

Crystal structure
Cell: 7.8390 7.8390 4.2537 Å, 90.00 90.00 120.00°
Fractional coordinates of all 9 atoms:
Pr 0.0000 0.4176 0.0000
Pr 0.4176 0.0000 0.0000
Pr 0.5824 0.5824 0.0000
Mg 0.0000 0.7579 0.5000
Mg 0.2421 0.2421 0.5000
Mg 0.7579 0.0000 0.5000
Ag 0.0000 0.0000 0.0000
Au 0.3333 0.6667 0.5000
Au 0.6667 0.3333 0.5000

---

6.
For PrY2Mg3AgAu2, the PBE geometry in OQMD gives the simulated X-ray diffraction stick pattern in this record (Cu Kα (weighted mean of Kα1 and Kα2)).
Neutral-atom scattering factors, no anomalous dispersion.

The 6 most intense peaks (2θ = 15–90°), most intense first:
2θ (°)	I/Imax
34.58	100
31.86	91
22.76	69
25.68	33
40.00	30
41.76	26

Crystal structure
Cell: 4.0383 7.8249 7.8249 Å, 120.22 90.00 90.00°
Fractional coordinates of all 9 atoms:
Pr 0.0000 0.0000 0.0000
Y 0.0000 0.1712 0.5853
Y 0.0000 0.5853 0.1712
Mg 0.5000 0.3399 0.3399
Mg 0.5000 0.5815 0.8333
Mg 0.5000 0.8333 0.5815
Ag 0.0000 0.5823 0.5823
Au 0.5000 0.2590 0.9172
Au 0.5000 0.9172 0.2590